For Y5Co4Ge10, a cell relaxed with GGA-PBE gives the theoretical powder X-ray diffraction pattern in this record (Cu Kα (weighted mean of Kα1 and Kα2)).
No peak broadening, texture or thermal motion is included.

The 6 most intense peaks (2θ from 5° to 70°), low angle first:
33.0 deg, I 50, hkl 3 2 1; 35.8 deg, I 40, hkl 5 1 0; 36.0 deg, I 27, hkl 4 1 1; 36.7 deg, I 100, hkl 3 3 1; 38.1 deg, I 27, hkl 4 2 1; 43.0 deg, I 72, hkl 0 0 2

Crystal structure
```
Y5Co4Ge10
1.0
12.798 0.000 0.000
0.000 12.798 0.000
0.000 0.000 4.200
Y Co Ge
10 8 20
direct
0.000 0.000 0.000
0.112 0.388 0.500
0.177 0.677 0.500
0.323 0.177 0.500
0.388 0.888 0.500
0.500 0.500 0.000
0.612 0.112 0.500
0.677 0.823 0.500
0.823 0.323 0.500
0.888 0.612 0.500
0.026 0.755 0.000
0.245 0.026 0.000
0.255 0.526 0.000
0.474 0.255 0.000
0.526 0.745 0.000
0.745 0.474 0.000
0.755 0.974 0.000
0.974 0.245 0.000
0.004 0.833 0.500
0.069 0.569 0.000
0.155 0.198 0.000
0.167 0.004 0.500
0.198 0.845 0.000
0.302 0.345 0.000
0.333 0.504 0.500
0.345 0.698 0.000
0.431 0.069 0.000
0.496 0.333 0.500
0.504 0.667 0.500
0.569 0.931 0.000
0.655 0.302 0.000
0.667 0.496 0.500
0.698 0.655 0.000
0.802 0.155 0.000
0.833 0.996 0.500
0.845 0.802 0.000
0.931 0.431 0.000
0.996 0.167 0.500
```